1.
For Sr2BiS4, a PBE-relaxed structure gives the theoretical PXRD pattern in this record (a wavelength of 1.5418 Å).
No peak broadening, texture or thermal motion is included.

The 8 most intense peaks (2θ from 15° to 90°), low angle first:
- 2θ 25.15, I 100
- 2θ 25.55, I 68
- 2θ 25.79, I 29
- 2θ 32.59, I 50
- 2θ 35.22, I 55
- 2θ 42.41, I 37
- 2θ 45.57, I 41
- 2θ 50.17, I 23

Structure:
Cell lengths 7.5503, 11.7925, 4.2620 Å; angles 90.00, 90.00, 90.00 degrees
Space group Pbam (No. 55)
Unique sites:
Sr: 0.0948 0.1844 0.0000 (multiplicity 4)
Bi: 0.0000 0.5000 0.5000 (multiplicity 2)
S: 0.1315 0.7129 0.5000 (multiplicity 4)
S: 0.2316 0.4453 0.0000 (multiplicity 4)

2.
For SrBiS3, a PBE-relaxed structure gives the theoretical PXRD pattern in this record (a wavelength of 1.5418 Å).
No peak broadening, texture or thermal motion is included.

The 8 most intense peaks (2θ from 15° to 90°), low angle first:
- 2θ 16.15, I 54
- 2θ 24.47, I 100
- 2θ 25.68, I 70
- 2θ 31.07, I 38
- 2θ 33.24, I 68
- 2θ 35.77, I 48
- 2θ 42.46, I 38
- 2θ 50.16, I 40

Structure:
Cell lengths 7.7750, 4.2703, 15.5005 Å; angles 90.00, 90.00, 90.00 degrees
Space group Pnma (No. 62)
Unique sites:
Sr: 0.1006 0.2500 0.1916 (multiplicity 4)
Bi: 0.1813 0.7500 0.4296 (multiplicity 4)
S: 0.0230 0.7500 0.6109 (multiplicity 4)
S: 0.0806 0.7500 0.9945 (multiplicity 4)
S: 0.1735 0.2500 0.7771 (multiplicity 4)

3.
For TaBiS2, a PBE-relaxed structure gives the theoretical PXRD pattern in this record (a wavelength of 1.5418 Å).
No peak broadening, texture or thermal motion is included.

The 8 most intense peaks (2θ from 15° to 90°), low angle first:
- 2θ 19.94, I 100
- 2θ 30.32, I 42
- 2θ 31.11, I 80
- 2θ 32.72, I 22
- 2θ 33.16, I 44
- 2θ 40.07, I 28
- 2θ 40.95, I 45
- 2θ 45.65, I 34

Structure:
Cell lengths 3.3786, 6.0311, 9.1294 Å; angles 96.93, 100.60, 90.02 degrees
Space group P1 (No. 1)
Unique sites:
Ta: 0.0000 0.0000 0.0000 (multiplicity 1)
Ta: 0.4997 0.4188 0.0004 (multiplicity 1)
Bi: 0.2824 0.7096 0.5013 (multiplicity 1)
Bi: 0.6625 0.2093 0.5000 (multiplicity 1)
S: 0.0787 0.6572 0.1560 (multiplicity 1)
S: 0.4237 0.7616 0.8444 (multiplicity 1)
S: 0.5912 0.1530 0.1849 (multiplicity 1)
S: 0.9068 0.2658 0.8155 (multiplicity 1)

4.
For Tb2Bi2S7, a PBE-relaxed structure gives the theoretical PXRD pattern in this record (a wavelength of 1.5418 Å).
No peak broadening, texture or thermal motion is included.

The 8 most intense peaks (2θ from 15° to 90°), low angle first:
- 2θ 23.62, I 100
- 2θ 24.64, I 46
- 2θ 24.97, I 62
- 2θ 27.90, I 50
- 2θ 35.37, I 99
- 2θ 40.39, I 77
- 2θ 42.80, I 49
- 2θ 65.11, I 30

Structure:
Cell lengths 3.8984, 14.4524, 8.8257 Å; angles 90.00, 90.00, 90.00 degrees
Space group Imm2 (No. 44)
Unique sites:
Tb: 0.0000 0.0000 0.0000 (multiplicity 2)
Tb: 0.0000 0.5000 0.0407 (multiplicity 2)
Bi: 0.0000 0.2533 0.8263 (multiplicity 4)
S: 0.0000 0.1348 0.5008 (multiplicity 4)
S: 0.0000 0.1753 0.1202 (multiplicity 4)
S: 0.0000 0.3966 0.3211 (multiplicity 4)
S: 0.0000 0.5000 0.7176 (multiplicity 2)

5.
For TbYBiS2, a PBE-relaxed structure gives the theoretical PXRD pattern in this record (a wavelength of 1.5418 Å).
No peak broadening, texture or thermal motion is included.

The 8 most intense peaks (2θ from 15° to 90°), low angle first:
- 2θ 27.68, I 100
- 2θ 27.94, I 38
- 2θ 30.85, I 19
- 2θ 38.20, I 13
- 2θ 39.93, I 27
- 2θ 48.78, I 23
- 2θ 49.28, I 42
- 2θ 79.26, I 15

Structure:
Cell lengths 4.5156, 4.5156, 13.8074 Å; angles 90.00, 90.00, 90.00 degrees
Space group I4mm (No. 107)
Unique sites:
Tb: 0.0000 0.0000 0.0000 (multiplicity 2)
Y: 0.0000 0.0000 0.2932 (multiplicity 2)
Bi: 0.0000 0.0000 0.6462 (multiplicity 2)
S: 0.0000 0.5000 0.3962 (multiplicity 4)

Repeat the first record exactly.
For Sr2BiS4, a PBE-relaxed structure gives the theoretical PXRD pattern in this record (a wavelength of 1.5418 Å).
No peak broadening, texture or thermal motion is included.

The 8 most intense peaks (2θ from 15° to 90°), low angle first:
- 2θ 25.15, I 100
- 2θ 25.55, I 68
- 2θ 25.79, I 29
- 2θ 32.59, I 50
- 2θ 35.22, I 55
- 2θ 42.41, I 37
- 2θ 45.57, I 41
- 2θ 50.17, I 23

Structure:
Cell lengths 7.5503, 11.7925, 4.2620 Å; angles 90.00, 90.00, 90.00 degrees
Space group Pbam (No. 55)
Unique sites:
Sr: 0.0948 0.1844 0.0000 (multiplicity 4)
Bi: 0.0000 0.5000 0.5000 (multiplicity 2)
S: 0.1315 0.7129 0.5000 (multiplicity 4)
S: 0.2316 0.4453 0.0000 (multiplicity 4)